# 1
Starting from a DFT-relaxed cell (GGA-PBE, Alexandria), the X-ray powder pattern of Pr4NdDy4 was calculated for Cu Kα (λ = 1.5418 Å).
Peak positions follow from Bragg's law for the DFT cell and can differ from measured ones.

The 8 most intense peaks (10 to 90 degrees two-theta), by intensity:
| 2theta | d (Å) | intensity | hkl |
| --- | --- | --- | --- |
| 30.11 | 2.968 | 100.0 | 3 0 1 |
| 34.90 | 2.571 | 50.7 | 3 3 0 |
| 59.65 | 1.550 | 43.1 | 3 0 3 |
| 50.19 | 1.818 | 36.3 | 6 0 0 |
| 81.63 | 1.179 | 17.6 | 6 3 3 |
| 84.22 | 1.150 | 16.4 | 3 3 4 |
| 62.59 | 1.484 | 12.4 | 6 0 2 |
| 73.71 | 1.285 | 5.7 | 0 0 4 |

abc: 10.9089 10.9089 5.1388
angles: 90.00 90.00 90.00
Space group I4/mmm (No. 139)
One atom of each set of equivalent atoms:
1 Pr 0.1675 0.1675 0.0000
2 Nd 0.0000 0.0000 0.5000
3 Dy 0.0000 0.3363 0.5000

=====

# 2
Starting from a DFT-relaxed cell (GGA-PBE, Alexandria), the X-ray powder pattern of Pm2Y8Tm3 was calculated for Cu Kα (λ = 1.5418 Å).
Peak positions follow from Bragg's law for the DFT cell and can differ from measured ones.

The 8 most intense peaks (10 to 90 degrees two-theta), by intensity:
| 2theta | d (Å) | intensity | hkl |
| --- | --- | --- | --- |
| 31.53 | 2.838 | 100.0 | 3 5 0 |
| 29.92 | 2.986 | 99.9 | 2 1 1 |
| 31.67 | 2.825 | 97.1 | 1 4 1 |
| 34.59 | 2.593 | 89.0 | 3 1 1 |
| 31.21 | 2.865 | 61.3 | 1 7 0 |
| 11.42 | 7.749 | 54.8 | 1 2 0 |
| 36.46 | 2.464 | 46.8 | 0 6 1 |
| 31.80 | 2.814 | 43.3 | 4 2 0 |

abc: 11.6987 20.6887 3.5227
angles: 90.00 90.00 90.00
Space group Pbam (No. 55)
One atom of each set of equivalent atoms:
1 Pm 0.1783 0.0996 0.0000
2 Y 0.0463 0.5719 0.0000
3 Y 0.0551 0.8413 0.5000
4 Y 0.1293 0.2856 0.0000
5 Y 0.2088 0.4480 0.5000
6 Tm 0.0000 0.0000 0.5000
7 Tm 0.1454 0.7006 0.5000

=====

# 3
Starting from a DFT-relaxed cell (GGA-PBE, Alexandria), the X-ray powder pattern of Rb4Zr6CCl18 was calculated for Cu Kα (λ = 1.5418 Å).
Peak positions follow from Bragg's law for the DFT cell and can differ from measured ones.

The 8 most intense peaks (10 to 90 degrees two-theta), by intensity:
| 2theta | d (Å) | intensity | hkl |
| --- | --- | --- | --- |
| 11.26 | 7.856 | 100.0 | 1 1 -1 |
| 10.39 | 8.516 | 88.3 | 1 1 0 |
| 31.38 | 2.851 | 67.9 | 2 4 1 |
| 35.27 | 2.545 | 63.6 | 1 5 2 |
| 31.09 | 2.877 | 60.5 | 3 1 -3 |
| 13.79 | 6.422 | 53.9 | 0 2 1 |
| 23.04 | 3.860 | 46.4 | 1 3 -2 |
| 44.33 | 2.043 | 42.5 | 2 6 2 |

abc: 10.6541 17.8968 10.1478
angles: 90.00 114.66 90.00
Space group C2/m (No. 12)
One atom of each set of equivalent atoms:
1 Rb 0.1067 0.1622 0.3196
2 Zr 0.1321 0.5000 0.8678
3 Zr 0.1396 0.4092 0.1502
4 C 0.0000 0.5000 0.0000
5 Cl 0.0000 0.2979 0.0000
6 Cl 0.0090 0.3990 0.3100
7 Cl 0.1891 0.0000 0.6695
8 Cl 0.1977 0.1944 0.6729
9 Cl 0.1993 0.1016 0.9793
10 Cl 0.2173 0.0000 0.2792